Computed powder diffractogram of MgCoGe for CuKα, from a structure optimized by DFT (GGA-PBE).

Structure:
a = 3.900 Å, b = 3.900 Å, c = 6.165 Å
α = 90.00°, β = 90.00°, γ = 90.00°
Space group P4/nmm (No. 129, origin choice 2)
Inequivalent atoms, fractional coordinates:
Mg: 0.250 0.250 0.178 (multiplicity 2)
Co: 0.250 0.750 0.500 (multiplicity 2)
Ge: 0.250 0.250 0.726 (multiplicity 2)

Main lines, by intensity (2θ = 10–90°):
- d = 2.055 Å, I = 100.0, (1 1 2)
- d = 6.165 Å, I = 73.8, (0 0 1)
- d = 1.950 Å, I = 48.6, (2 0 0)
- d = 3.296 Å, I = 42.9, (1 0 1)
- d = 2.517 Å, I = 30.4, (1 1 1)
- d = 1.145 Å, I = 28.1, (3 1 2)
- d = 1.379 Å, I = 14.8, (2 2 0)
- d = 1.209 Å, I = 14.7, (2 0 4)
- d = 2.418 Å, I = 13.0, (1 0 2)
- d = 1.678 Å, I = 12.1, (2 1 1)